1.
For HoAgSn3, a DFT-relaxed cell (PBE, Alexandria) gives the simulated X-ray powder pattern in this record (copper Kα).
Neutral-atom scattering factors, no anomalous dispersion.

Structural model:
```
data_HoAgSn3
_chemical_formula_sum 'Ho4 Ag4 Sn12'
_space_group_name_H-M_alt 'P b c m'
_space_group_IT_number 57
_cell_length_a 12.7832
_cell_length_b 6.2235
_cell_length_c 6.1947
_cell_angle_alpha 90.00
_cell_angle_beta 90.00
_cell_angle_gamma 90.00
loop_
_space_group_symop_operation_xyz
'x,y,z'
'-x,-y,-z'
'-x,-y,z+1/2'
'x,y,-z+1/2'
'x,-y+1/2,-z'
'-x,y+1/2,z'
'-x,y+1/2,-z+1/2'
'x,-y+1/2,z+1/2'
loop_
_atom_site_label
_atom_site_fract_x
_atom_site_fract_y
_atom_site_fract_z
_atom_site_occupancy
Ho1 0.1907 0.0083 0.2500 1
Ag1 0.3867 0.2500 0.0000 1
Sn1 0.0011 0.7500 0.0000 1
Sn2 0.2366 0.5113 0.2500 1
Sn3 0.4241 0.6517 0.7500 1
```

Main lines, sorted by position (2θ from 10° to 90°):
(2 2 0), 32.0°, rel. 100; (2 0 2), 32.1°, rel. 63; (1 1 2), 33.0°, rel. 30; (4 1 1), 34.7°, rel. 36; (5 0 0), 35.1°, rel. 75; (2 1 2), 35.3°, rel. 38; (3 2 0), 35.7°, rel. 58; (3 0 2), 35.8°, rel. 66; (0 2 2), 41.1°, rel. 72; (5 2 2), 55.1°, rel. 44

---

2.
For HoAg4Sn2, a DFT-relaxed cell (PBE, Alexandria) gives the simulated X-ray powder pattern in this record (copper Kα).
Neutral-atom scattering factors, no anomalous dispersion.

Structural model:
```
data_HoAg4Sn2
_chemical_formula_sum 'Ho2 Ag8 Sn4'
_space_group_name_H-M_alt 'P 42/m n m'
_space_group_IT_number 136
_space_group_name_Hall '-P 4n 2n'
_cell_length_a 8.1017
_cell_length_b 8.1017
_cell_length_c 4.6467
_cell_angle_alpha 90.00
_cell_angle_beta 90.00
_cell_angle_gamma 90.00
loop_
_atom_site_label
_atom_site_fract_x
_atom_site_fract_y
_atom_site_fract_z
_atom_site_occupancy
Ho1 0.0000 0.0000 0.0000 1
Ag1 0.1095 0.3627 0.5000 1
Sn1 0.2059 0.7941 0.5000 1
```

Main lines, sorted by position (2θ from 10° to 90°):
(2 2 0), 31.3°, rel. 100; (3 1 0), 35.0°, rel. 40; (2 2 1), 36.9°, rel. 80; (3 0 1), 38.6°, rel. 19; (0 0 2), 38.8°, rel. 51; (3 1 1), 40.2°, rel. 73; (4 1 0), 46.2°, rel. 17; (3 1 2), 53.2°, rel. 23; (4 4 0), 65.2°, rel. 23; (5 1 2), 72.0°, rel. 16

---

3.
For SrHo3Ag4, a DFT-relaxed cell (PBE, Alexandria) gives the simulated X-ray powder pattern in this record (copper Kα).
Neutral-atom scattering factors, no anomalous dispersion.

Structural model:
```
data_SrHo3Ag4
_chemical_formula_sum 'Sr2 Ho6 Ag8'
_space_group_name_H-M_alt 'P m m a'
_space_group_IT_number 51
_cell_length_a 10.4360
_cell_length_b 7.3493
_cell_length_c 5.2181
_cell_angle_alpha 90.00
_cell_angle_beta 90.00
_cell_angle_gamma 90.00
loop_
_space_group_symop_operation_xyz
'x,y,z'
'-x,-y,-z'
'-x+1/2,-y,z'
'x+1/2,y,-z'
'x+1/2,-y,-z'
'-x+1/2,y,z'
'-x,y,-z'
'x,-y,z'
loop_
_atom_site_label
_atom_site_fract_x
_atom_site_fract_y
_atom_site_fract_z
_atom_site_occupancy
Sr1 0.0000 0.0000 0.0000 1
Ho1 0.0000 0.5000 0.0000 1
Ho2 0.2500 0.0000 0.4995 1
Ho3 0.2500 0.5000 0.4993 1
Ag1 0.0000 0.2698 0.5000 1
Ag2 0.2500 0.2696 0.9989 1
```

Main lines, sorted by position (2θ from 10° to 90°):
(0 1 0), 12.0°, rel. 3; (4 0 0), 34.4°, rel. 100; (4 0 2), 49.4°, rel. 12; (0 4 0), 49.6°, rel. 5; (6 2 1), 61.6°, rel. 24; (4 4 0), 61.8°, rel. 11; (8 0 0), 72.5°, rel. 4; (4 4 2), 72.6°, rel. 7; (8 0 2), 82.7°, rel. 10; (2 6 1), 83.1°, rel. 4

---

4.
For Tb4HoAg5, a DFT-relaxed cell (PBE, Alexandria) gives the simulated X-ray powder pattern in this record (copper Kα).
Neutral-atom scattering factors, no anomalous dispersion.

Structural model:
```
data_Tb4HoAg5
_chemical_formula_sum 'Tb4 Ho1 Ag5'
_space_group_name_H-M_alt 'P 4/m m m'
_space_group_IT_number 123
_space_group_name_Hall '-P 4 2'
_cell_length_a 3.6163
_cell_length_b 3.6163
_cell_length_c 18.5047
_cell_angle_alpha 90.00
_cell_angle_beta 90.00
_cell_angle_gamma 90.00
loop_
_atom_site_label
_atom_site_fract_x
_atom_site_fract_y
_atom_site_fract_z
_atom_site_occupancy
Tb1 0.0000 0.0000 0.1004 1
Tb2 0.0000 0.0000 0.3012 1
Ho1 0.0000 0.0000 0.5000 1
Ag1 0.5000 0.5000 0.0000 1
Ag2 0.5000 0.5000 0.2008 1
Ag3 0.5000 0.5000 0.4023 1
```

Main lines, sorted by position (2θ from 10° to 90°):
(1 0 5), 34.7°, rel. 100; (1 1 0), 35.1°, rel. 48; (0 0 10), 49.2°, rel. 9; (2 0 0), 50.5°, rel. 17; (1 1 10), 61.9°, rel. 18; (2 1 5), 62.7°, rel. 35; (2 0 10), 73.2°, rel. 11; (1 0 15), 82.6°, rel. 8; (3 0 5), 84.5°, rel. 8; (3 1 0), 84.8°, rel. 8

---

5.
For HoAgTe2, a DFT-relaxed cell (PBE, Alexandria) gives the simulated X-ray powder pattern in this record (copper Kα).
Neutral-atom scattering factors, no anomalous dispersion.

Structural model:
```
data_HoAgTe2
_chemical_formula_sum 'Ho2 Ag2 Te4'
_space_group_name_H-M_alt 'P -4 21 m'
_space_group_IT_number 113
_cell_length_a 7.0970
_cell_length_b 7.0970
_cell_length_c 4.7119
_cell_angle_alpha 90.00
_cell_angle_beta 90.00
_cell_angle_gamma 90.00
loop_
_space_group_symop_operation_xyz
'x,y,z'
'y,-x,-z'
'-x,-y,z'
'-y,x,-z'
'x+1/2,-y+1/2,-z'
'y+1/2,x+1/2,z'
'-x+1/2,y+1/2,-z'
'-y+1/2,-x+1/2,z'
loop_
_atom_site_label
_atom_site_fract_x
_atom_site_fract_y
_atom_site_fract_z
_atom_site_occupancy
Ho1 0.0000 0.5000 0.1907 1
Ag1 0.0000 0.0000 0.0000 1
Te1 0.2019 0.7019 0.7084 1
```

Main lines, sorted by position (2θ from 10° to 90°):
(1 1 1), 25.9°, rel. 100; (2 1 0), 28.1°, rel. 29; (2 0 1), 31.6°, rel. 59; (2 1 1), 34.1°, rel. 87; (2 2 0), 35.8°, rel. 82; (1 1 2), 42.4°, rel. 39; (3 0 1), 42.8°, rel. 59; (4 0 0), 51.5°, rel. 19; (3 1 3), 73.6°, rel. 20; (5 2 1), 74.8°, rel. 23

---

6.
For HoAg2Te3, a DFT-relaxed cell (PBE, Alexandria) gives the simulated X-ray powder pattern in this record (copper Kα).
Neutral-atom scattering factors, no anomalous dispersion.

Structural model:
```
data_HoAg2Te3
_chemical_formula_sum 'Ho2 Ag4 Te6'
_space_group_name_H-M_alt 'P 1 21/m 1'
_space_group_IT_number 11
_cell_length_a 7.1265
_cell_length_b 4.2433
_cell_length_c 12.7206
_cell_angle_alpha 90.00
_cell_angle_beta 100.81
_cell_angle_gamma 90.00
loop_
_space_group_symop_operation_xyz
'x,y,z'
'-x,-y,-z'
'-x,y+1/2,-z'
'x,-y+1/2,z'
loop_
_atom_site_label
_atom_site_fract_x
_atom_site_fract_y
_atom_site_fract_z
_atom_site_occupancy
Ho1 0.0171 0.2500 0.2922 1
Ag1 0.0100 0.2500 0.9163 1
Ag2 0.1460 0.2500 0.5538 1
Te1 0.2570 0.2500 0.1220 1
Te2 0.2691 0.7500 0.4337 1
Te3 0.2861 0.2500 0.7774 1
```

Main lines, sorted by position (2θ from 10° to 90°):
(1 0 0), 12.6°, rel. 100; (1 0 -3), 22.7°, rel. 31; (1 1 0), 24.5°, rel. 28; (1 1 1), 26.2°, rel. 26; (1 1 2), 29.6°, rel. 24; (2 1 -1), 32.9°, rel. 25; (2 1 -2), 34.2°, rel. 54; (1 1 3), 34.3°, rel. 40; (0 1 4), 35.7°, rel. 26; (0 2 0), 42.6°, rel. 33

---

7.
For Ho4AgTe2, a DFT-relaxed cell (PBE, Alexandria) gives the simulated X-ray powder pattern in this record (copper Kα).
Neutral-atom scattering factors, no anomalous dispersion.

Structural model:
```
data_Ho4AgTe2
_chemical_formula_sum 'Ho16 Ag4 Te8'
_space_group_name_H-M_alt 'C 1 2/c 1'
_space_group_IT_number 15
_cell_length_a 13.1451
_cell_length_b 9.4772
_cell_length_c 9.3726
_cell_angle_alpha 90.00
_cell_angle_beta 134.34
_cell_angle_gamma 90.00
loop_
_space_group_symop_operation_xyz
'x,y,z'
'-x,-y,-z'
'-x,y,-z+1/2'
'x,-y,z+1/2'
'x+1/2,y+1/2,z'
'-x+1/2,-y+1/2,-z'
'-x+1/2,y+1/2,-z+1/2'
'x+1/2,-y+1/2,z+1/2'
loop_
_atom_site_label
_atom_site_fract_x
_atom_site_fract_y
_atom_site_fract_z
_atom_site_occupancy
Ho1 0.0044 0.1815 0.0546 1
Ho2 0.2001 0.4316 0.9455 1
Ag1 0.0000 0.1239 0.7500 1
Te1 0.0000 0.5000 0.0000 1
Te2 0.2500 0.2500 0.5000 1
```

Main lines, sorted by position (2θ from 10° to 90°):
(0 0 2), 26.6°, rel. 46; (4 0 -2), 27.1°, rel. 50; (1 3 -1), 29.8°, rel. 100; (3 1 0), 30.1°, rel. 36; (1 1 2), 35.5°, rel. 46; (4 0 0), 38.3°, rel. 27; (4 0 -4), 38.4°, rel. 26; (3 3 -3), 40.6°, rel. 30; (0 2 3), 44.9°, rel. 30; (2 6 -2), 62.0°, rel. 23

---

8.
For Ho2UAg3Te6, a DFT-relaxed cell (PBE, Alexandria) gives the simulated X-ray powder pattern in this record (copper Kα).
Neutral-atom scattering factors, no anomalous dispersion.

Structural model:
```
data_Ho2UAg3Te6
_chemical_formula_sum 'Ho4 U2 Ag6 Te12'
_space_group_name_H-M_alt 'C 1 2/m 1'
_space_group_IT_number 12
_cell_length_a 17.2138
_cell_length_b 4.4362
_cell_length_c 10.6537
_cell_angle_alpha 90.00
_cell_angle_beta 106.58
_cell_angle_gamma 90.00
loop_
_space_group_symop_operation_xyz
'x,y,z'
'-x,-y,-z'
'-x,y,-z'
'x,-y,z'
'x+1/2,y+1/2,z'
'-x+1/2,-y+1/2,-z'
'-x+1/2,y+1/2,-z'
'x+1/2,-y+1/2,z'
loop_
_atom_site_label
_atom_site_fract_x
_atom_site_fract_y
_atom_site_fract_z
_atom_site_occupancy
Ho1 0.1615 0.0000 0.3327 1
U1 0.0000 0.5000 0.0000 1
Ag1 0.0000 0.5000 0.5000 1
Ag2 0.1758 0.0000 0.9705 1
Te1 0.0186 0.0000 0.7985 1
Te2 0.1573 0.5000 0.5272 1
Te3 0.1929 0.5000 0.1477 1
```

Main lines, sorted by position (2θ from 10° to 90°):
(2 0 -1), 11.7°, rel. 26; (4 0 1), 25.5°, rel. 25; (1 1 -2), 26.1°, rel. 100; (6 0 0), 32.6°, rel. 37; (3 1 -3), 33.5°, rel. 40; (3 1 3), 40.4°, rel. 37; (0 2 0), 40.7°, rel. 26; (7 1 -2), 42.6°, rel. 35; (6 2 0), 53.0°, rel. 18; (1 3 -2), 65.5°, rel. 14

---

9.
For Ho3ZrAg3Te8, a DFT-relaxed cell (PBE, Alexandria) gives the simulated X-ray powder pattern in this record (copper Kα).
Neutral-atom scattering factors, no anomalous dispersion.

Structural model:
```
data_Ho3ZrAg3Te8
_chemical_formula_sum 'Ho6 Zr2 Ag6 Te16'
_space_group_name_H-M_alt 'C 1 2/m 1'
_space_group_IT_number 12
_cell_length_a 14.9552
_cell_length_b 8.6341
_cell_length_c 8.7182
_cell_angle_alpha 90.00
_cell_angle_beta 124.97
_cell_angle_gamma 90.00
loop_
_space_group_symop_operation_xyz
'x,y,z'
'-x,-y,-z'
'-x,y,-z'
'x,-y,z'
'x+1/2,y+1/2,z'
'-x+1/2,-y+1/2,-z'
'-x+1/2,y+1/2,-z'
'x+1/2,-y+1/2,z'
loop_
_atom_site_label
_atom_site_fract_x
_atom_site_fract_y
_atom_site_fract_z
_atom_site_occupancy
Ho1 0.0000 0.0000 0.0000 1
Ho2 0.2500 0.2500 0.0000 1
Zr1 0.0000 0.5000 0.0000 1
Ag1 0.0000 0.5000 0.5000 1
Ag2 0.2500 0.2500 0.5000 1
Te1 0.0008 0.2590 0.2429 1
Te2 0.2419 0.5000 0.2428 1
Te3 0.2479 0.5000 0.7444 1
```

Main lines, sorted by position (2θ from 10° to 90°):
(4 0 0), 29.1°, rel. 100; (2 2 2), 41.5°, rel. 38; (0 4 0), 41.8°, rel. 37; (0 0 4), 51.1°, rel. 7; (4 4 0), 51.8°, rel. 20; (8 0 0), 60.4°, rel. 12; (0 4 4), 68.1°, rel. 11; (10 2 -2), 68.7°, rel. 16; (4 0 4), 75.4°, rel. 6; (2 6 2), 76.1°, rel. 8

---

10.
For Ho6TlAg, a DFT-relaxed cell (PBE, Alexandria) gives the simulated X-ray powder pattern in this record (copper Kα).
Neutral-atom scattering factors, no anomalous dispersion.

Structural model:
```
data_Ho6TlAg
_chemical_formula_sum 'Ho12 Tl2 Ag2'
_space_group_name_H-M_alt 'I 4/m m m'
_space_group_IT_number 139
_space_group_name_Hall '-I 4 2'
_cell_length_a 5.0443
_cell_length_b 5.0443
_cell_length_c 17.8703
_cell_angle_alpha 90.00
_cell_angle_beta 90.00
_cell_angle_gamma 90.00
loop_
_atom_site_label
_atom_site_fract_x
_atom_site_fract_y
_atom_site_fract_z
_atom_site_occupancy
Ho1 0.0000 0.0000 0.2498 1
Ho2 0.0000 0.5000 0.1123 1
Tl1 0.0000 0.0000 0.0000 1
Ag1 0.0000 0.0000 0.5000 1
```

Main lines, sorted by position (2θ from 10° to 90°):
(1 1 4), 32.1°, rel. 100; (2 0 0), 35.6°, rel. 40; (0 0 8), 40.4°, rel. 12; (2 2 0), 51.2°, rel. 14; (2 0 8), 54.9°, rel. 19; (3 1 4), 61.8°, rel. 31; (2 2 8), 67.2°, rel. 10; (1 1 12), 68.2°, rel. 7; (3 3 4), 84.3°, rel. 7; (4 2 0), 86.2°, rel. 7

---

11.
For Ho4Tl2Ag3, a DFT-relaxed cell (PBE, Alexandria) gives the simulated X-ray powder pattern in this record (copper Kα).
Neutral-atom scattering factors, no anomalous dispersion.

Structural model:
```
data_Ho4Tl2Ag3
_chemical_formula_sum 'Ho8 Tl4 Ag6'
_space_group_name_H-M_alt 'C 1 2/m 1'
_space_group_IT_number 12
_cell_length_a 9.9509
_cell_length_b 4.9307
_cell_length_c 9.2552
_cell_angle_alpha 90.00
_cell_angle_beta 103.02
_cell_angle_gamma 90.00
loop_
_space_group_symop_operation_xyz
'x,y,z'
'-x,-y,-z'
'-x,y,-z'
'x,-y,z'
'x+1/2,y+1/2,z'
'-x+1/2,-y+1/2,-z'
'-x+1/2,y+1/2,-z'
'x+1/2,-y+1/2,z'
loop_
_atom_site_label
_atom_site_fract_x
_atom_site_fract_y
_atom_site_fract_z
_atom_site_occupancy
Ho1 0.0566 0.0000 0.3418 1
Ho2 0.1400 0.5000 0.8963 1
Tl1 0.2257 0.5000 0.2580 1
Ag1 0.0000 0.0000 0.0000 1
Ag2 0.1359 0.5000 0.5686 1
```

Main lines, sorted by position (2θ from 10° to 90°):
(2 0 2), 30.0°, rel. 20; (3 1 -1), 32.7°, rel. 43; (3 1 0), 33.1°, rel. 53; (1 1 -3), 34.4°, rel. 100; (0 2 0), 36.4°, rel. 68; (4 0 -2), 38.0°, rel. 13; (2 0 3), 38.6°, rel. 18; (2 2 2), 47.9°, rel. 11; (2 2 3), 54.2°, rel. 13; (1 3 -3), 64.3°, rel. 16

---

12.
For HoTm4Ag, a DFT-relaxed cell (PBE, Alexandria) gives the simulated X-ray powder pattern in this record (copper Kα).
Neutral-atom scattering factors, no anomalous dispersion.

Structural model:
```
data_HoTm4Ag
_chemical_formula_sum 'Ho1 Tm4 Ag1'
_space_group_name_H-M_alt 'P 4/m m m'
_space_group_IT_number 123
_space_group_name_Hall '-P 4 2'
_cell_length_a 3.4904
_cell_length_b 3.4904
_cell_length_c 13.8041
_cell_angle_alpha 90.00
_cell_angle_beta 90.00
_cell_angle_gamma 90.00
loop_
_atom_site_label
_atom_site_fract_x
_atom_site_fract_y
_atom_site_fract_z
_atom_site_occupancy
Ho1 0.0000 0.0000 0.0000 1
Tm1 0.0000 0.0000 0.3619 1
Tm2 0.5000 0.5000 0.1799 1
Ag1 0.5000 0.5000 0.5000 1
```

Main lines, sorted by position (2θ from 10° to 90°):
(1 0 2), 28.7°, rel. 7; (1 0 3), 32.2°, rel. 100; (1 1 0), 36.4°, rel. 41; (0 0 6), 39.2°, rel. 10; (1 1 5), 49.5°, rel. 8; (2 0 0), 52.4°, rel. 14; (1 1 6), 54.5°, rel. 15; (1 0 8), 59.8°, rel. 9; (2 1 3), 62.9°, rel. 29; (2 0 6), 67.3°, rel. 8

---

13.
For Ho2TmAg, a DFT-relaxed cell (PBE, Alexandria) gives the simulated X-ray powder pattern in this record (copper Kα).
Neutral-atom scattering factors, no anomalous dispersion.

Structural model:
```
data_Ho2TmAg
_chemical_formula_sum 'Ho8 Tm4 Ag4'
_space_group_name_H-M_alt 'C 1 2/c 1'
_space_group_IT_number 15
_cell_length_a 12.0012
_cell_length_b 6.5896
_cell_length_c 6.5913
_cell_angle_alpha 90.00
_cell_angle_beta 123.30
_cell_angle_gamma 90.00
loop_
_space_group_symop_operation_xyz
'x,y,z'
'-x,-y,-z'
'-x,y,-z+1/2'
'x,-y,z+1/2'
'x+1/2,y+1/2,z'
'-x+1/2,-y+1/2,-z'
'-x+1/2,y+1/2,-z+1/2'
'x+1/2,-y+1/2,z+1/2'
loop_
_atom_site_label
_atom_site_fract_x
_atom_site_fract_y
_atom_site_fract_z
_atom_site_occupancy
Ho1 0.2490 0.0675 0.1815 1
Tm1 0.0000 0.2525 0.2500 1
Ag1 0.0000 0.2502 0.7500 1
```

Main lines, sorted by position (2θ from 10° to 90°):
(2 2 -1), 31.6°, rel. 43; (4 0 -2), 32.5°, rel. 100; (4 0 0), 35.8°, rel. 29; (2 2 -2), 38.6°, rel. 23; (2 2 1), 40.8°, rel. 22; (6 2 -2), 53.7°, rel. 17; (3 1 2), 55.4°, rel. 9; (0 4 1), 58.5°, rel. 13; (8 0 -2), 62.3°, rel. 15; (4 4 -1), 64.6°, rel. 10